Starting from the PBE geometry in Alexandria, the powder XRD pattern of La4Mg3Ni was computed for Cu Ka.

Main lines, sorted by position (2θ from 15° to 90°):
| two_theta | I (rel.) |
| --- | --- |
| 22.2 | 20 |
| 23.5 | 46 |
| 32.5 | 100 |
| 33.5 | 55 |
| 40.5 | 17 |
| 46.3 | 10 |
| 48.0 | 21 |
| 54.1 | 10 |
| 57.5 | 12 |
| 59.2 | 35 |

Atomic structure:
```
La4Mg3Ni
1.0
3.7877 0.0000 0.0000
0.0000 3.7877 0.0000
0.0000 0.0000 16.0218
La Mg Ni
4 3 1
Cartesian
0.0000 0.0000 1.6116
0.0000 0.0000 5.9187
0.0000 0.0000 10.1031
0.0000 0.0000 14.4102
1.8939 1.8939 3.8167
1.8939 1.8939 8.0109
1.8939 1.8939 12.2051
1.8939 1.8939 0.0000
```

=====

Starting from the PBE geometry in Alexandria, the powder XRD pattern of Ac2Co3Ge5 was computed for Cu Ka.

Main lines, sorted by position (2θ from 15° to 90°):
| two_theta | I (rel.) |
| --- | --- |
| 22.4 | 43 |
| 29.3 | 18 |
| 33.9 | 100 |
| 34.2 | 71 |
| 34.4 | 71 |
| 41.7 | 73 |
| 50.2 | 36 |
| 54.6 | 23 |
| 55.0 | 25 |
| 71.2 | 27 |

Atomic structure:
```
Ac2Co3Ge5
1.0
-5.0074 6.1507 3.0492
5.0074 -6.1507 3.0492
5.0074 6.1507 -3.0492
Ac Co Ge
4 6 10
Cartesian
2.4630 1.5970 0.0000
2.4630 -1.5970 3.0492
2.5444 7.7477 0.0000
2.5444 4.5537 3.0492
3.8596 -4.5400 3.0492
5.0074 0.0000 1.5246
3.8596 4.5400 0.0000
1.1478 1.6107 3.0492
0.0000 6.1507 1.5246
1.1478 10.6907 0.0000
5.0074 3.0874 -1.5246
6.4418 1.2965 0.0000
0.0000 0.0000 1.5246
1.4344 4.8542 0.0000
0.0000 3.0633 1.5246
5.0074 3.0874 1.5246
3.5730 1.2965 3.0492
0.0000 0.0000 4.5738
-1.4344 4.8542 3.0492
0.0000 3.0633 4.5738
```

=====

Starting from the PBE geometry in Alexandria, the powder XRD pattern of Cr4ReNi was computed for Cu Ka.

Main lines, sorted by position (2θ from 15° to 90°):
| two_theta | I (rel.) |
| --- | --- |
| 23.2 | 25 |
| 26.9 | 17 |
| 38.4 | 58 |
| 45.3 | 100 |
| 47.4 | 20 |
| 60.8 | 7 |
| 62.6 | 7 |
| 69.4 | 20 |
| 74.2 | 29 |
| 82.1 | 20 |

Atomic structure:
```
Cr4ReNi
1.0
0.0000 3.3187 3.3187
3.3187 0.0000 3.3187
3.3187 3.3187 0.0000
Cr Re Ni
4 1 1
Cartesian
0.8252 0.8252 0.8252
2.4935 2.4935 0.8252
2.4935 0.8252 2.4935
0.8252 2.4935 2.4935
3.3187 3.3187 3.3187
4.9781 4.9781 4.9781
```

=====

Starting from the PBE geometry in Alexandria, the powder XRD pattern of Ba6GaO was computed for Cu Ka.

Main lines, sorted by position (2θ from 15° to 90°):
| two_theta | I (rel.) |
| --- | --- |
| 23.2 | 13 |
| 25.0 | 21 |
| 26.4 | 100 |
| 34.3 | 26 |
| 40.8 | 21 |
| 44.9 | 22 |
| 48.4 | 14 |
| 49.3 | 13 |
| 65.8 | 8 |
| 67.5 | 8 |

Atomic structure:
```
Ba6GaO
1.0
3.8308 2.2117 7.1352
-3.8308 2.2117 7.1352
0.0000 -4.4234 7.1352
Ba Ga O
6 1 1
Cartesian
-2.2969 -0.1093 9.0193
-1.0538 -2.0438 12.3865
1.2431 -1.9345 9.0192
-1.2431 1.9345 12.3865
1.0538 2.0438 9.0192
2.2969 0.1093 12.3864
0.0000 0.0000 0.0000
0.0000 0.0000 10.7028
```

=====

Starting from the PBE geometry in Alexandria, the powder XRD pattern of CsSrLiS2 was computed for Cu Ka.

Main lines, sorted by position (2θ from 15° to 90°):
| two_theta | I (rel.) |
| --- | --- |
| 18.7 | 33 |
| 19.5 | 37 |
| 23.0 | 23 |
| 25.4 | 100 |
| 25.6 | 50 |
| 31.8 | 29 |
| 37.7 | 34 |
| 41.6 | 25 |
| 42.1 | 24 |
| 46.4 | 30 |

Atomic structure:
```
CsSrLiS2
1.0
3.9077 -7.7174 0.0000
3.9077 7.7174 0.0000
0.0000 0.0000 6.0335
Cs Sr Li S
2 2 2 4
Cartesian
3.9077 3.8587 4.6991
3.9077 -3.8587 1.3344
1.9538 0.0000 3.0168
5.8615 0.0000 3.0168
0.0000 0.0000 0.0000
3.9077 0.0000 0.0000
3.9077 6.1389 1.6006
3.9077 1.5786 1.6006
3.9077 -1.5786 4.4329
3.9077 -6.1389 4.4329
```

=====

Starting from the PBE geometry in Alexandria, the powder XRD pattern of Y2BeGa4Pd3 was computed for Cu Ka.

Main lines, sorted by position (2θ from 15° to 90°):
| two_theta | I (rel.) |
| --- | --- |
| 23.5 | 22 |
| 31.5 | 22 |
| 32.7 | 66 |
| 35.4 | 100 |
| 45.1 | 63 |
| 45.4 | 34 |
| 46.3 | 48 |
| 56.8 | 26 |
| 66.7 | 38 |
| 84.2 | 22 |

Atomic structure:
```
Y2BeGa4Pd3
1.0
4.0192 0.0000 0.0000
0.0000 4.0192 0.0000
0.0000 0.0000 11.2194
Y Be Ga Pd
2 1 4 3
Cartesian
0.0000 2.0096 2.7007
2.0096 0.0000 8.5187
2.0096 2.0096 0.0000
0.0000 0.0000 5.6097
0.0000 2.0096 9.7651
2.0096 0.0000 1.4543
2.0096 2.0096 5.6097
0.0000 0.0000 0.0000
0.0000 2.0096 7.2465
2.0096 0.0000 3.9729
```